(1)
Theoretical powder XRD pattern of MnVMoIr for a wavelength of 1.5418 Å, from the GGA-PBE geometry in Alexandria.
No peak broadening, texture or thermal motion is included.

Top 8 peaks for 2θ from 5° to 70°, most intense first:
2.148 Å, I 100, (2 2 0); 3.038 Å, I 28, (2 0 0); 1.519 Å, I 16, (4 0 0); 3.508 Å, I 13, (1 1 1); 1.359 Å, I 11, (4 2 0); 1.754 Å, I 8, (2 2 2); 1.832 Å, I 7, (3 1 1); 1.394 Å, I 3, (3 3 1)

Crystal structure
```
data_MnVMoIr
_chemical_formula_sum 'Mn4 V4 Mo4 Ir4'
_symmetry_space_group_name_H-M 'F -4 3 m'
_symmetry_Int_Tables_number 216
_symmetry_space_group_name_Hall 'F -4 2 3'
_cell_length_a 6.076
_cell_length_b 6.076
_cell_length_c 6.076
_cell_angle_alpha 90.00
_cell_angle_beta 90.00
_cell_angle_gamma 90.00
loop_
_atom_site_label
_atom_site_type_symbol
_atom_site_fract_x
_atom_site_fract_y
_atom_site_fract_z
Mn1 Mn 0.000 0.000 0.000
V1 V 0.000 0.000 0.500
Mo1 Mo 0.250 0.250 0.250
Ir1 Ir 0.250 0.250 0.750
```

---

(2)
Theoretical powder XRD pattern of Pu3Si2Rh6 for a wavelength of 1.5418 Å, from the GGA-PBE geometry in Alexandria.
No peak broadening, texture or thermal motion is included.

Top 12 peaks for 2θ from 5° to 70°, most intense first:
2.169 Å, I 100, (3 3 0); 2.460 Å, I 41, (3 2 1); 2.911 Å, I 34, (3 1 0); 2.657 Å, I 26, (2 2 2); 1.493 Å, I 25, (5 3 2); 2.301 Å, I 24, (4 0 0); 1.388 Å, I 23, (6 2 2); 3.254 Å, I 22, (2 2 0); 1.534 Å, I 13, (6 0 0); 3.758 Å, I 12, (2 1 1); 1.579 Å, I 12, (4 3 3); 1.680 Å, I 10, (5 2 1)

Crystal structure
```
data_Pu3Si2Rh6
_chemical_formula_sum 'Pu12 Si8 Rh24'
_symmetry_space_group_name_H-M 'I m -3 m'
_symmetry_Int_Tables_number 229
_symmetry_space_group_name_Hall '-I 4 2 3'
_cell_length_a 9.204
_cell_length_b 9.204
_cell_length_c 9.204
_cell_angle_alpha 90.00
_cell_angle_beta 90.00
_cell_angle_gamma 90.00
loop_
_atom_site_label
_atom_site_type_symbol
_atom_site_fract_x
_atom_site_fract_y
_atom_site_fract_z
Pu1 Pu 0.000 0.000 0.277
Si1 Si 0.250 0.250 0.250
Rh1 Rh 0.000 0.331 0.331
```

---

(3)
Theoretical powder XRD pattern of Zn3Cu3Te2O12 for a wavelength of 1.5418 Å, from the GGA-PBE geometry in Alexandria.
No peak broadening, texture or thermal motion is included.

Top 12 peaks for 2θ from 5° to 70°, most intense first:
2.807 Å, I 100, (2 2 2); 1.719 Å, I 38, (4 4 0); 1.466 Å, I 29, (6 2 2); 2.431 Å, I 28, (4 0 0); 4.862 Å, I 16, (2 0 0); 1.907 Å, I 9, (4 3 1); 3.970 Å, I 9, (2 1 1); 1.985 Å, I 7, (4 2 2); 1.403 Å, I 6, (4 4 4); 3.438 Å, I 6, (2 2 0); 2.073 Å, I 6, (3 3 2); 1.500 Å, I 5, (5 1 4)

Crystal structure
```
data_Zn3Cu3Te2O12
_chemical_formula_sum 'Zn12 Cu12 Te8 O48'
_symmetry_space_group_name_H-M 'I 21 3'
_symmetry_Int_Tables_number 199
_symmetry_space_group_name_Hall 'I 2b 2c 3'
_cell_length_a 9.723
_cell_length_b 9.723
_cell_length_c 9.723
_cell_angle_alpha 90.00
_cell_angle_beta 90.00
_cell_angle_gamma 90.00
loop_
_atom_site_label
_atom_site_type_symbol
_atom_site_fract_x
_atom_site_fract_y
_atom_site_fract_z
Zn1 Zn 0.000 0.250 0.965
Cu1 Cu 0.000 0.250 0.468
Te1 Te 0.246 0.254 0.746
O1 O 0.106 0.376 0.827
O2 O 0.110 0.130 0.331
```

---

(4)
Theoretical powder XRD pattern of Ac6Ir4F for a wavelength of 1.5418 Å, from the GGA-PBE geometry in Alexandria.
No peak broadening, texture or thermal motion is included.

Top 12 peaks for 2θ from 5° to 70°, most intense first:
2.973 Å, I 100, (0 0 3); 2.983 Å, I 62, (2 2 -1); 2.317 Å, I 31, (2 2 -3); 2.294 Å, I 27, (2 2 2); 2.280 Å, I 25, (4 0 -1); 2.013 Å, I 17, (0 4 0); 1.668 Å, I 14, (0 4 3); 2.393 Å, I 13, (0 2 3); 8.929 Å, I 13, (0 0 1); 1.823 Å, I 12, (4 0 -4); 1.509 Å, I 12, (4 4 -1); 1.939 Å, I 10, (2 2 3)

Crystal structure
```
data_Ac6Ir4F
_chemical_formula_sum 'Ac12 Ir8 F2'
_symmetry_space_group_name_H-M 'C 1 m 1'
_symmetry_Int_Tables_number 8
_cell_length_a 9.120
_cell_length_b 8.053
_cell_length_c 9.251
_cell_angle_alpha 90.00
_cell_angle_beta 105.16
_cell_angle_gamma 90.00
loop_
_symmetry_equiv_pos_as_xyz
'x,y,z'
'x,-y,z'
'x+1/2,y+1/2,z'
'x+1/2,-y+1/2,z'
loop_
_atom_site_label
_atom_site_type_symbol
_atom_site_fract_x
_atom_site_fract_y
_atom_site_fract_z
Ac1 Ac 0.000 0.000 0.000
Ac2 Ac 0.049 0.500 0.003
Ac3 Ac 0.205 0.254 0.647
Ac4 Ac 0.357 0.242 0.305
Ir1 Ir 0.122 0.000 0.384
Ir2 Ir 0.128 0.500 0.368
Ir3 Ir 0.266 0.210 0.971
F1 F 0.386 0.500 0.715
```

---

(5)
Theoretical powder XRD pattern of MgSb2F12 for a wavelength of 1.5418 Å, from the GGA-PBE geometry in Alexandria.
No peak broadening, texture or thermal motion is included.

Top 12 peaks for 2θ from 5° to 70°, most intense first:
4.574 Å, I 100, (1 0 1); 4.256 Å, I 59, (1 1 0); 2.514 Å, I 29, (2 1 1); 2.128 Å, I 23, (2 2 0); 7.038 Å, I 17, (0 0 1); 1.625 Å, I 17, (3 2 1); 3.519 Å, I 13, (0 0 2); 2.712 Å, I 13, (1 1 2); 2.186 Å, I 12, (1 0 3); 1.903 Å, I 12, (3 1 0); 3.009 Å, I 11, (2 0 0); 1.769 Å, I 10, (2 1 3)

Crystal structure
```
data_MgSb2F12
_chemical_formula_sum 'Mg1 Sb2 F12'
_symmetry_space_group_name_H-M 'P -4 m 2'
_symmetry_Int_Tables_number 115
_cell_length_a 6.019
_cell_length_b 6.019
_cell_length_c 7.038
_cell_angle_alpha 90.00
_cell_angle_beta 90.00
_cell_angle_gamma 90.00
loop_
_symmetry_equiv_pos_as_xyz
'x,y,z'
'y,-x,-z'
'-x,-y,z'
'-y,x,-z'
'-x,y,z'
'-y,-x,-z'
'x,-y,z'
'y,x,-z'
loop_
_atom_site_label
_atom_site_type_symbol
_atom_site_fract_x
_atom_site_fract_y
_atom_site_fract_z
Mg1 Mg 0.000 0.000 0.000
Sb1 Sb 0.000 0.500 0.218
F1 F 0.000 0.500 0.485
F2 F 0.000 0.500 0.949
F3 F 0.205 0.252 0.199
```

---

(6)
Theoretical powder XRD pattern of MgTe2Br for a wavelength of 1.5418 Å, from the GGA-PBE geometry in Alexandria.
No peak broadening, texture or thermal motion is included.

Top 12 peaks for 2θ from 5° to 70°, most intense first:
8.005 Å, I 100, (0 0 1); 4.003 Å, I 63, (0 0 2); 2.999 Å, I 45, (1 1 0); 2.987 Å, I 41, (1 1 -1); 2.634 Å, I 35, (1 1 -2); 2.658 Å, I 32, (1 1 1); 2.219 Å, I 27, (1 1 2); 2.403 Å, I 24, (2 0 -1); 2.195 Å, I 24, (1 1 -3); 3.538 Å, I 20, (1 0 -2); 2.077 Å, I 16, (2 0 1); 1.524 Å, I 15, (2 2 -1)

Crystal structure
```
data_MgTe2Br
_chemical_formula_sum 'Mg1 Te2 Br1'
_symmetry_space_group_name_H-M 'P 1 m 1'
_symmetry_Int_Tables_number 6
_cell_length_a 4.806
_cell_length_b 3.940
_cell_length_c 8.320
_cell_angle_alpha 90.00
_cell_angle_beta 105.81
_cell_angle_gamma 90.00
loop_
_symmetry_equiv_pos_as_xyz
'x,y,z'
'x,-y,z'
loop_
_atom_site_label
_atom_site_type_symbol
_atom_site_fract_x
_atom_site_fract_y
_atom_site_fract_z
Mg1 Mg 0.000 0.000 0.000
Te1 Te 0.134 0.500 0.293
Te2 Te 0.609 0.000 0.240
Br1 Br 0.900 0.500 0.795
```

---

(7)
Theoretical powder XRD pattern of Pm3PrSb4 for a wavelength of 1.5418 Å, from the GGA-PBE geometry in Alexandria.
No peak broadening, texture or thermal motion is included.

Top 7 peaks for 2θ from 5° to 70°, most intense first:
3.189 Å, I 100, (2 0 1); 2.255 Å, I 77, (4 0 0); 1.426 Å, I 35, (4 4 2); 1.841 Å, I 27, (4 4 0); 1.594 Å, I 13, (4 0 2); 3.682 Å, I 2, (2 2 0); 1.923 Å, I 1, (4 2 1)

Crystal structure
```
data_Pm3PrSb4
_chemical_formula_sum 'Pm6 Pr2 Sb8'
_symmetry_space_group_name_H-M 'C m m m'
_symmetry_Int_Tables_number 65
_symmetry_space_group_name_Hall '-C 2 2'
_cell_length_a 9.016
_cell_length_b 12.752
_cell_length_c 4.511
_cell_angle_alpha 90.00
_cell_angle_beta 90.00
_cell_angle_gamma 90.00
loop_
_atom_site_label
_atom_site_type_symbol
_atom_site_fract_x
_atom_site_fract_y
_atom_site_fract_z
Pm1 Pm 0.000 0.000 0.000
Pm2 Pm 0.250 0.250 0.500
Pr1 Pr 0.000 0.500 0.000
Sb1 Sb 0.000 0.249 0.000
Sb2 Sb 0.247 0.000 0.500
```

---

(8)
Theoretical powder XRD pattern of LaNd3SmDy for a wavelength of 1.5418 Å, from the GGA-PBE geometry in Alexandria.
No peak broadening, texture or thermal motion is included.

Top 12 peaks for 2θ from 5° to 70°, most intense first:
2.926 Å, I 100, (0 2 0); 3.018 Å, I 73, (5 1 1); 3.054 Å, I 65, (5 1 -1); 2.719 Å, I 64, (3 1 2); 2.750 Å, I 63, (3 1 -2); 2.638 Å, I 59, (7 1 0); 3.454 Å, I 38, (6 0 0); 2.900 Å, I 24, (4 0 -2); 2.233 Å, I 23, (6 2 0); 1.489 Å, I 22, (0 2 4); 1.707 Å, I 21, (8 0 3); 2.955 Å, I 21, (1 1 -2)

Crystal structure
```
data_LaNd3SmDy
_chemical_formula_sum 'La4 Nd12 Sm4 Dy4'
_symmetry_space_group_name_H-M 'C 1 2/m 1'
_symmetry_Int_Tables_number 12
_cell_length_a 20.690
_cell_length_b 5.853
_cell_length_c 6.921
_cell_angle_alpha 90.00
_cell_angle_beta 91.03
_cell_angle_gamma 90.00
loop_
_symmetry_equiv_pos_as_xyz
'x,y,z'
'-x,-y,-z'
'-x,y,-z'
'x,-y,z'
'x+1/2,y+1/2,z'
'-x+1/2,-y+1/2,-z'
'-x+1/2,y+1/2,-z'
'x+1/2,-y+1/2,z'
loop_
_atom_site_label
_atom_site_type_symbol
_atom_site_fract_x
_atom_site_fract_y
_atom_site_fract_z
La1 La 0.146 0.000 0.026
Nd1 Nd 0.018 0.000 0.748
Nd2 Nd 0.161 0.500 0.742
Nd3 Nd 0.219 0.500 0.260
Sm1 Sm 0.056 0.500 0.265
Dy1 Dy 0.144 0.000 0.475
```

---

(9)
Theoretical powder XRD pattern of Rb3HfBr6 for a wavelength of 1.5418 Å, from the GGA-PBE geometry in Alexandria.
No peak broadening, texture or thermal motion is included.

Top 12 peaks for 2θ from 5° to 70°, most intense first:
2.952 Å, I 100, (4 0 0); 2.087 Å, I 69, (4 4 0); 4.175 Å, I 48, (2 2 0); 5.904 Å, I 45, (2 0 0); 3.409 Å, I 36, (2 2 2); 6.817 Å, I 32, (1 1 1); 1.704 Å, I 22, (4 4 4); 2.640 Å, I 19, (4 2 0); 2.410 Å, I 19, (4 2 2); 2.272 Å, I 16, (5 1 1); 1.867 Å, I 15, (6 2 0); 1.578 Å, I 15, (6 4 2)

Crystal structure
```
data_Rb3HfBr6
_chemical_formula_sum 'Rb12 Hf4 Br24'
_symmetry_space_group_name_H-M 'F m -3 m'
_symmetry_Int_Tables_number 225
_symmetry_space_group_name_Hall '-F 4 2 3'
_cell_length_a 11.808
_cell_length_b 11.808
_cell_length_c 11.808
_cell_angle_alpha 90.00
_cell_angle_beta 90.00
_cell_angle_gamma 90.00
loop_
_atom_site_label
_atom_site_type_symbol
_atom_site_fract_x
_atom_site_fract_y
_atom_site_fract_z
Rb1 Rb 0.000 0.000 0.000
Rb2 Rb 0.250 0.250 0.250
Hf1 Hf 0.000 0.000 0.500
Br1 Br 0.000 0.000 0.274
```